Diffraction record for Cd11In3. The PXRD pattern is simulated, not measured: it uses DFT lattice parameters and positions (PBE) and Cu Kα X-rays.
No peak broadening, texture or thermal motion is included.

Cell: 8.7576 8.7576 8.7576 Å, 147.34 99.55 89.55°
Atoms (fractional coordinates):
Cd 0.0000 0.0000 0.0000
Cd 0.0688 0.8515 0.2173
Cd 0.1461 0.5000 0.6461
Cd 0.2434 0.3719 0.8715
Cd 0.3658 0.1485 0.2173
Cd 0.5004 0.3719 0.1285
Cd 0.4996 0.6281 0.8715
Cd 0.6342 0.8515 0.7827
Cd 0.7566 0.6281 0.1285
Cd 0.8539 0.5000 0.3539
Cd 0.9312 0.1485 0.7827
In 0.2299 0.7299 0.5000
In 0.5000 0.0000 0.5000
In 0.7701 0.2701 0.5000

The 8 most intense peaks (5° ≤ 2θ ≤ 70°), in order of rising 2θ:
2θ/deg  d [Å]  I_rel
29.85  2.994  43
32.37  2.766  100
32.88  2.724  46
33.22  2.697  45
35.05  2.560  76
36.49  2.462  81
37.38  2.406  95
64.80  1.439  48